Computed powder XRD pattern
Compound: Ba2Ca3Tl2V4O12
Radiation: Cu Ka
Structure: a DFT-relaxed cell (GGA+U, the Materials Project)
Intensities are scaled so that the largest is 100.

Top 8 peaks for 2θ = 15–90°, sorted by position:
| 2θ/deg | I_rel |
| --- | --- |
| 26.48 | 45 |
| 28.77 | 100 |
| 31.41 | 84 |
| 32.14 | 82 |
| 32.39 | 35 |
| 46.09 | 48 |
| 55.24 | 34 |
| 56.84 | 31 |

Structural model:
Lattice parameters (Å, degrees): 22.8532 22.8532 22.8532 170.11 170.11 14.00
Sites, in units of the cell vectors:
1 Ba 0.1643 0.1643 0.0000
2 Ba 0.8357 0.8357 0.0000
3 Ca 0.0000 0.0000 0.0000
4 Ca 0.0770 0.0770 0.0000
5 Ca 0.9230 0.9230 0.0000
6 Tl 0.2745 0.2745 0.0000
7 Tl 0.7255 0.7255 0.0000
8 V 0.3863 0.3863 0.0000
9 V 0.4628 0.4628 0.0000
10 V 0.5372 0.5372 0.0000
11 V 0.6137 0.6137 0.0000
12 O 0.0351 0.5351 0.5000
13 O 0.1059 0.6059 0.5000
14 O 0.2214 0.2214 0.0000
15 O 0.3440 0.3440 0.0000
16 O 0.3941 0.8941 0.5000
17 O 0.4649 0.9649 0.5000
18 O 0.5351 0.0351 0.5000
19 O 0.6059 0.1059 0.5000
20 O 0.6560 0.6560 0.0000
21 O 0.7786 0.7786 0.0000
22 O 0.8941 0.3941 0.5000
23 O 0.9649 0.4649 0.5000